(1)
Computed X-ray diffraction stick pattern of Pm7Dy6 for CuKα, from a structure optimized by DFT (PBE).
Neutral-atom scattering factors, no anomalous dispersion.

Crystal structure
```
data_Pm7Dy6
_chemical_formula_sum 'Pm21 Dy18'
_space_group_name_H-M_alt 'R -3 m'
_space_group_IT_number 166
_space_group_name_Hall '-R 3 2"'
_cell_length_a 6.6278
_cell_length_b 6.6278
_cell_length_c 34.6268
_cell_angle_alpha 90.00
_cell_angle_beta 90.00
_cell_angle_gamma 120.00
loop_
_atom_site_label
_atom_site_fract_x
_atom_site_fract_y
_atom_site_fract_z
Pm1 0.0000 0.0000 0.0000
Pm2 0.0117 0.5058 0.4121
Dy1 0.0000 0.0000 0.1654
Dy2 0.0000 0.0000 0.3525
Dy3 0.0000 0.0000 0.4544
```

Peak list (12 most intense, 2θ = 15–90°, in order of falling intensity)
two_theta	Rel. int.	h k l
31.12	100	1 1 6
32.44	62	0 1 11
26.90	54	1 1 0
33.81	54	2 0 5
30.14	50	1 0 10
31.27	48	0 2 1
55.45	47	2 2 0
51.13	36	1 2 11
55.28	32	2 0 17
50.24	27	0 3 6
36.19	24	0 2 7
32.88	23	0 2 4

=====

(2)
Computed X-ray diffraction stick pattern of TmAgSO for CuKα, from a structure optimized by DFT (PBE).
Neutral-atom scattering factors, no anomalous dispersion.

Crystal structure
```
data_TmAgSO
_chemical_formula_sum 'Tm6 Ag6 S6 O6'
_space_group_name_H-M_alt 'R -3 m'
_space_group_IT_number 166
_space_group_name_Hall '-R 3 2"'
_cell_length_a 3.8678
_cell_length_b 3.8678
_cell_length_c 31.8699
_cell_angle_alpha 90.00
_cell_angle_beta 90.00
_cell_angle_gamma 120.00
loop_
_atom_site_label
_atom_site_fract_x
_atom_site_fract_y
_atom_site_fract_z
Tm1 0.0000 0.0000 0.1235
Ag1 0.0000 0.0000 0.3057
S1 0.0000 0.0000 0.4010
O1 0.0000 0.0000 0.1928
```

Peak list (12 most intense, 2θ = 15–90°, in order of falling intensity)
two_theta	Rel. int.	h k l
30.14	100	0 1 5
28.92	98	1 0 4
46.99	92	1 1 0
33.21	78	1 0 7
41.20	48	0 1 11
39.01	41	1 0 10
59.09	40	1 1 12
33.75	34	0 0 12
53.53	33	1 0 16
27.21	28	0 1 2
80.44	23	1 1 21
73.98	21	0 2 16

=====

(3)
Computed X-ray diffraction stick pattern of Zr5Ta3 for CuKα, from a structure optimized by DFT (PBE).
Neutral-atom scattering factors, no anomalous dispersion.

Crystal structure
```
data_Zr5Ta3
_chemical_formula_sum 'Zr10 Ta6'
_space_group_name_H-M_alt 'C m m m'
_space_group_IT_number 65
_space_group_name_Hall '-C 2 2'
_cell_length_a 7.061
_cell_length_b 9.781
_cell_length_c 4.856
_cell_angle_alpha 90.00
_cell_angle_beta 90.00
_cell_angle_gamma 90.00
loop_
_atom_site_label
_atom_site_fract_x
_atom_site_fract_y
_atom_site_fract_z
Zr1 0.000 0.000 0.000
Zr2 0.228 0.500 0.500
Zr3 0.250 0.250 0.000
Ta1 0.000 0.236 0.500
Ta2 0.000 0.500 0.000
```

Peak list (12 most intense, 2θ = 15–90°, in order of falling intensity)
two_theta	Rel. int.	h k l
36.43	100	2 2 1
37.02	25	0 0 2
36.75	24	0 4 0
66.34	17	2 2 3
53.16	17	0 4 2
65.98	16	2 6 1
89.79	11	2 6 3
77.40	10	4 4 2
51.79	9	4 0 0
65.36	9	4 0 2
65.18	8	4 4 0
87.62	8	6 2 1

=====

(4)
Computed X-ray diffraction stick pattern of Ac2Mg3In4 for CuKα, from a structure optimized by DFT (PBE).
Neutral-atom scattering factors, no anomalous dispersion.

Crystal structure
```
data_Ac2Mg3In4
_chemical_formula_sum 'Ac8 Mg12 In16'
_space_group_name_H-M_alt 'C m c e'
_space_group_IT_number 64
_space_group_name_Hall '-C 2ac 2'
_cell_length_a 6.608
_cell_length_b 17.486
_cell_length_c 8.806
_cell_angle_alpha 90.00
_cell_angle_beta 90.00
_cell_angle_gamma 90.00
loop_
_atom_site_label
_atom_site_fract_x
_atom_site_fract_y
_atom_site_fract_z
Ac1 0.000 0.106 0.096
Mg1 0.000 0.000 0.500
Mg2 0.250 0.229 0.750
In1 0.000 0.176 0.482
In2 0.250 0.061 0.750
```

Peak list (12 most intense, 2θ = 15–90°, in order of falling intensity)
two_theta	Rel. int.	h k l
30.66	100	1 5 1
33.95	54	2 0 2
28.78	40	1 3 2
32.17	37	0 2 3
50.02	31	3 5 1
20.31	18	0 4 0
17.53	17	1 1 1
59.61	16	2 6 4
43.86	16	1 7 2
52.18	16	2 6 3
24.83	14	1 1 2
36.88	13	0 4 3

=====

(5)
Computed X-ray diffraction stick pattern of RbNaOsCl6 for CuKα, from a structure optimized by DFT (PBE).
Neutral-atom scattering factors, no anomalous dispersion.

Crystal structure
```
data_RbNaOsCl6
_chemical_formula_sum 'Rb1 Na1 Os1 Cl6'
_space_group_name_H-M_alt 'P 3 1 2'
_space_group_IT_number 149
_cell_length_a 6.9029
_cell_length_b 6.9029
_cell_length_c 7.0277
_cell_angle_alpha 90.00
_cell_angle_beta 90.00
_cell_angle_gamma 120.00
loop_
_space_group_symop_operation_xyz
'x,y,z'
'-y,x-y,z'
'-x+y,-x,z'
'-y,-x,-z'
'-x+y,y,-z'
'x,x-y,-z'
loop_
_atom_site_label
_atom_site_fract_x
_atom_site_fract_y
_atom_site_fract_z
Rb1 0.0000 0.0000 0.0000
Na1 0.3333 0.6667 0.5000
Os1 0.6667 0.3333 0.5000
Cl1 0.3935 0.0508 0.6942
```

Peak list (12 most intense, 2θ = 15–90°, in order of falling intensity)
two_theta	Rel. int.	h k l
19.49	100	1 0 1
36.49	46	2 -1 2
42.00	26	3 -1 1
28.82	20	2 -1 1
32.55	20	2 0 1
25.81	16	1 1 0
45.52	16	3 0 0
56.59	13	2 1 3
57.07	12	3 1 1
49.43	11	2 0 3
47.86	10	3 -1 2
59.69	10	2 2 2

=====

(6)
Computed X-ray diffraction stick pattern of La3NdTe4 for CuKα, from a structure optimized by DFT (PBE).
Neutral-atom scattering factors, no anomalous dispersion.

Crystal structure
```
data_La3NdTe4
_chemical_formula_sum 'La6 Nd2 Te8'
_space_group_name_H-M_alt 'P 1 2/c 1'
_space_group_IT_number 13
_cell_length_a 7.923
_cell_length_b 9.041
_cell_length_c 7.930
_cell_angle_alpha 90.00
_cell_angle_beta 109.15
_cell_angle_gamma 90.00
loop_
_space_group_symop_operation_xyz
'x,y,z'
'-x,-y,-z'
'-x,y,-z+1/2'
'x,-y,z+1/2'
loop_
_atom_site_label
_atom_site_fract_x
_atom_site_fract_y
_atom_site_fract_z
La1 0.000 0.125 0.250
La2 0.000 0.374 0.750
La3 0.500 0.374 0.250
Nd1 0.500 0.125 0.750
Te1 0.252 0.374 0.502
Te2 0.253 0.123 0.000
```

Peak list (12 most intense, 2θ = 15–90°, in order of falling intensity)
two_theta	Rel. int.	h k l
27.66	100	1 2 1
39.50	51	3 2 -1
64.58	18	0 4 4
48.64	14	4 0 0
49.20	14	2 4 -2
39.22	13	2 0 2
39.88	12	0 4 0
71.27	9	1 2 5
57.17	9	2 4 2
72.16	9	3 6 -1
64.21	6	3 2 3
64.67	6	4 4 0

=====

(7)
Computed X-ray diffraction stick pattern of CrBN2 for CuKα, from a structure optimized by DFT (PBE).
Neutral-atom scattering factors, no anomalous dispersion.

Crystal structure
```
data_CrBN2
_chemical_formula_sum 'Cr2 B2 N4'
_space_group_name_H-M_alt 'P 63/m m c'
_space_group_IT_number 194
_space_group_name_Hall '-P 6c 2c'
_cell_length_a 3.1265
_cell_length_b 3.1265
_cell_length_c 9.5689
_cell_angle_alpha 90.00
_cell_angle_beta 90.00
_cell_angle_gamma 120.00
loop_
_atom_site_label
_atom_site_fract_x
_atom_site_fract_y
_atom_site_fract_z
Cr1 0.0000 0.0000 0.0000
B1 0.3333 0.6667 0.2500
N1 0.3333 0.6667 0.1100
```

Peak list (12 most intense, 2θ = 15–90°, in order of falling intensity)
two_theta	Rel. int.	h k l
38.19	100	1 0 2
18.55	92	0 0 2
50.94	49	1 0 4
33.08	32	1 0 0
59.10	28	1 1 0
34.42	22	1 0 1
68.25	19	1 0 6
62.51	17	1 1 2
72.57	12	2 0 2
81.73	10	2 0 4
37.60	8	0 0 4
72.19	7	1 1 4

=====

(8)
Computed X-ray diffraction stick pattern of Zr5Sn2H for CuKα, from a structure optimized by DFT (PBE).
Neutral-atom scattering factors, no anomalous dispersion.

Crystal structure
```
data_Zr5Sn2H
_chemical_formula_sum 'Zr10 Sn4 H2'
_space_group_name_H-M_alt 'I 4 m m'
_space_group_IT_number 107
_space_group_name_Hall 'I 4 -2'
_cell_length_a 6.420
_cell_length_b 6.420
_cell_length_c 8.292
_cell_angle_alpha 90.00
_cell_angle_beta 90.00
_cell_angle_gamma 90.00
loop_
_atom_site_label
_atom_site_fract_x
_atom_site_fract_y
_atom_site_fract_z
Zr1 0.000 0.000 0.000
Zr2 0.248 0.248 0.750
Sn1 0.000 0.500 0.499
H1 0.000 0.000 0.260
```

Peak list (12 most intense, 2θ = 15–90°, in order of falling intensity)
two_theta	Rel. int.	h k l
35.36	100	2 0 2
39.71	36	2 2 0
69.26	28	4 2 2
74.80	22	4 0 4
60.48	21	2 2 4
43.67	15	0 0 4
57.41	12	4 0 0
17.47	10	1 0 1
19.55	9	1 1 0
29.17	7	1 1 2
85.57	4	4 4 0
33.01	4	2 1 1